[1]
This entry pairs a crystal structure of Ho2Ge4Pd with its calculated PXRD pattern. Radiation: Cu Kα. Structure: a GGA-PBE-relaxed structure.

a = 4.0873 Å, b = 4.1216 Å, c = 16.8319 Å
α = 90.00°, β = 90.00°, γ = 90.00°
Sites, in units of the cell vectors:
Ho: 0.0000 0.0000 0.0000
Ho: 0.0000 0.5000 0.5000
Ho: 0.5000 0.0000 0.2053
Ho: 0.5000 0.5000 0.7053
Ge: 0.0000 0.0000 0.3722
Ge: 0.0000 0.0000 0.6409
Ge: 0.0000 0.5000 0.1409
Ge: 0.0000 0.5000 0.8722
Ge: 0.5000 0.0000 0.5482
Ge: 0.5000 0.0000 0.8694
Ge: 0.5000 0.5000 0.0482
Ge: 0.5000 0.5000 0.3694
Pd: 0.0000 0.0000 0.7856
Pd: 0.0000 0.5000 0.2856

Largest 10 diffraction maxima, low angle first, 10 to 90 degrees two-theta:
2theta	Rel. int.	hkl
31.27	18	1 1 1
34.40	34	0 1 5
34.80	100	1 1 3
38.94	24	1 0 6
43.94	24	0 2 0
44.32	23	2 0 0
48.67	12	1 0 8
57.28	16	2 1 5
60.14	13	1 2 6
64.18	15	2 2 0

---

[2]
This entry pairs a crystal structure of HoGePd with its calculated PXRD pattern. Radiation: Cu Kα. Structure: a GGA-PBE-relaxed structure.

a = 10.4466 Å, b = 4.3721 Å, c = 7.0017 Å
α = 90.00°, β = 132.09°, γ = 90.00°
Sites, in units of the cell vectors:
Ho: 0.0441 0.0000 0.2843
Ho: 0.4559 0.5000 0.7157
Ho: 0.5441 0.5000 0.2843
Ho: 0.9559 0.0000 0.7157
Ge: 0.1594 0.5000 0.7136
Ge: 0.3406 0.0000 0.2864
Ge: 0.6594 0.0000 0.7136
Ge: 0.8406 0.5000 0.2864
Pd: 0.1775 0.5000 0.1288
Pd: 0.3225 0.0000 0.8712
Pd: 0.6775 0.0000 0.1288
Pd: 0.8225 0.5000 0.8712

Largest 10 diffraction maxima, low angle first, 10 to 90 degrees two-theta:
2theta	Rel. int.	hkl
33.44	43	3 1 -1
34.52	46	0 0 2
34.81	100	1 1 -2
37.08	13	2 0 1
40.36	20	4 0 -3
40.55	54	3 1 0
41.30	36	0 2 0
54.89	25	0 2 2
59.12	13	4 2 -3
66.22	23	7 1 -3